# 1
For Na2Tl5Pb, a crystal structure in Alexandria, relaxed with PBE gives the computed powder diffractogram in this record (Cu Kα, 1.54184 Å).
Lines closer than 0.1° are merged.

Atomic structure:
Cell lengths 6.669, 13.378, 5.240 Å; angles 90.00, 90.00, 90.00 degrees
Space group Pbam (No. 55)
Symmetry-distinct sites (fractional):
Na  0.243  0.121  0.000 x4
Tl  0.000  0.000  0.500 x2
Tl  0.012  0.750  0.500 x4
Tl  0.243  0.371  0.000 x4
Pb  0.000  0.500  0.500 x2

Largest 8 diffraction maxima, in order of rising 2θ, 10 to 80 degrees two-theta:
index	2theta	I (rel.)
1 2 0	18.79	13.9
1 2 1	25.39	13.7
0 4 1	31.77	100.0
0 0 2	34.23	20.7
2 4 0	38.11	30.6
2 4 2	52.14	25.2
0 4 3	59.75	17.0
2 8 1	64.87	13.0

# 2
For Pr4YHo15, a crystal structure in Alexandria, relaxed with PBE gives the computed powder diffractogram in this record (Cu Kα, 1.54184 Å).
Lines closer than 0.1° are merged.

Atomic structure:
Cell lengths 5.050, 5.050, 25.129 Å; angles 90.00, 90.00, 90.00 degrees
Space group P4/mmm (No. 123)
Symmetry-distinct sites (fractional):
Pr  0.000  0.000  0.100 x2
Pr  0.000  0.000  0.300 x2
Y  0.000  0.000  0.500 x1
Ho  0.000  0.500  0.000 x2
Ho  0.000  0.500  0.200 x4
Ho  0.000  0.500  0.401 x4
Ho  0.500  0.500  0.100 x2
Ho  0.500  0.500  0.301 x2
Ho  0.500  0.500  0.500 x1

Largest 8 diffraction maxima, in order of rising 2θ, 10 to 80 degrees two-theta:
index	2theta	I (rel.)
1 1 5	30.71	100.0
2 0 0	35.55	33.9
0 0 10	35.73	16.7
2 2 0	51.16	12.1
2 0 10	51.29	24.0
3 1 5	60.86	28.7
1 1 15	61.10	14.1
2 2 10	63.96	12.3

# 3
For Ba2CeCd3Hg12, a crystal structure in Alexandria, relaxed with PBE gives the computed powder diffractogram in this record (Cu Kα, 1.54184 Å).
Lines closer than 0.1° are merged.

Atomic structure:
Cell lengths 7.2171, 7.2171, 37.6459 Å; angles 90.00, 90.00, 120.00 degrees
Space group R-3m (No. 166, hexagonal axes)
Symmetry-distinct sites (fractional):
Ba  0.0000  0.0000  0.1354 x6
Ce  0.0000  0.0000  0.5000 x3
Cd  0.0000  0.5000  0.0000 x9
Hg  0.0265  0.5132  0.8903 x18
Hg  0.0448  0.5224  0.6148 x18

Largest 8 diffraction maxima, in order of rising 2θ, 10 to 80 degrees two-theta:
index	2theta	I (rel.)
1 0 4	17.03	23.7
0 0 12	28.50	20.1
0 1 11	29.76	23.6
0 2 4	30.13	82.8
2 0 8	34.45	100.0
0 2 10	37.40	47.6
2 2 0	50.59	41.6
2 2 18	68.71	21.0

Copy entry 3 word for word.
For Ba2CeCd3Hg12, a crystal structure in Alexandria, relaxed with PBE gives the computed powder diffractogram in this record (Cu Kα, 1.54184 Å).
Lines closer than 0.1° are merged.

Atomic structure:
Cell lengths 7.2171, 7.2171, 37.6459 Å; angles 90.00, 90.00, 120.00 degrees
Space group R-3m (No. 166, hexagonal axes)
Symmetry-distinct sites (fractional):
Ba  0.0000  0.0000  0.1354 x6
Ce  0.0000  0.0000  0.5000 x3
Cd  0.0000  0.5000  0.0000 x9
Hg  0.0265  0.5132  0.8903 x18
Hg  0.0448  0.5224  0.6148 x18

Largest 8 diffraction maxima, in order of rising 2θ, 10 to 80 degrees two-theta:
index	2theta	I (rel.)
1 0 4	17.03	23.7
0 0 12	28.50	20.1
0 1 11	29.76	23.6
0 2 4	30.13	82.8
2 0 8	34.45	100.0
0 2 10	37.40	47.6
2 2 0	50.59	41.6
2 2 18	68.71	21.0